Computed XRD peak list of TaMn2FeO6 for CuKα, from a PBE+U-relaxed structure.
Lines closer than 0.1° are merged.

Structural model:
```
TaMn2FeO6
1.0
2.6661 1.5393 4.6888
-2.6661 1.5393 4.6888
0.0000 -3.0786 4.6888
Ta Mn Fe O
1 2 1 6
Cartesian
0.0000 0.0000 0.0000
0.0000 0.0000 3.8900
0.0000 0.0000 11.0442
0.0000 0.0000 7.0422
-0.6217 -1.5079 5.6661
-1.7052 -0.2784 8.0303
-0.9950 1.2923 5.6661
1.0937 -1.3375 8.0303
1.6167 0.2155 5.6661
0.6115 1.6160 8.0303
```

Peak list (12 most intense, 15° ≤ 2θ ≤ 90°, by intensity)
| two_theta | I (rel.) |
| --- | --- |
| 31.99 | 100.0 |
| 33.61 | 83.7 |
| 23.04 | 58.2 |
| 20.24 | 47.6 |
| 47.08 | 44.8 |
| 59.09 | 37.7 |
| 51.94 | 34.5 |
| 60.11 | 26.7 |
| 38.86 | 22.0 |
| 18.93 | 15.2 |
| 55.96 | 14.0 |
| 79.67 | 12.7 |

=====

Computed XRD peak list of Ta6Mn2FeO18 for CuKα, from a PBE+U-relaxed structure.
Lines closer than 0.1° are merged.

Structural model:
```
Ta6Mn2FeO18
1.0
9.9611 -3.4244 0.0000
9.9611 3.4244 0.0000
-6.4540 0.0000 9.6175
Ta Mn Fe O
12 4 2 36
Cartesian
-1.7372 0.0000 4.2599
-4.9769 0.0000 9.0851
4.0727 0.0000 2.1467
0.8478 0.0000 6.9466
3.7906 0.0000 5.8642
7.0454 0.0000 1.0709
6.4229 0.0000 8.5465
9.6777 0.0000 3.7532
12.6205 0.0000 2.6709
9.3955 0.0000 7.4707
18.4452 0.0000 0.5324
15.2055 0.0000 5.3576
-2.0649 0.0000 8.0185
9.9611 0.0000 0.0000
6.7341 0.0000 4.8087
15.5331 0.0000 1.5990
1.1683 0.0000 3.1983
12.2999 0.0000 6.4192
2.7687 1.4204 2.6133
-4.1537 0.0000 7.2790
0.4351 0.0000 1.2020
3.9301 2.0028 5.8297
5.5722 1.2582 1.6067
-0.9490 0.0000 6.1023
3.2758 0.0000 0.3080
6.7341 2.1678 4.8087
8.3595 1.4222 0.5726
1.8781 0.0000 5.1920
0.0252 0.0000 8.7557
9.5381 2.0028 3.7878
5.1087 1.4222 9.0449
4.6392 0.0000 4.0642
2.7508 0.0000 7.5791
2.7687 -1.4204 2.6133
7.8960 1.2582 8.0108
7.8770 0.0000 2.8925
5.5913 0.0000 6.7250
5.5722 -1.2582 1.6067
10.6995 1.4204 7.0041
10.7175 0.0000 2.0384
8.8290 0.0000 5.5533
8.3595 -1.4222 0.5726
3.9301 -2.0028 5.8297
13.4431 0.0000 0.8617
11.5901 0.0000 4.4255
5.1087 -1.4222 9.0449
6.7341 -2.1678 4.8087
10.1925 0.0000 9.3095
14.4172 0.0000 3.5152
7.8960 -1.2582 8.0108
9.5381 -2.0028 3.7878
13.0331 0.0000 8.4154
17.6219 0.0000 2.3384
10.6995 -1.4204 7.0041
```

Peak list (12 most intense, 15° ≤ 2θ ≤ 90°, by intensity)
| two_theta | I (rel.) |
| --- | --- |
| 26.07 | 100.0 |
| 34.21 | 80.6 |
| 51.37 | 32.7 |
| 51.48 | 32.4 |
| 20.68 | 28.8 |
| 37.20 | 24.5 |
| 65.16 | 18.8 |
| 65.82 | 14.4 |
| 18.97 | 11.1 |
| 32.44 | 9.9 |
| 53.52 | 8.4 |
| 53.72 | 8.3 |